Starting from a cell relaxed with PBE, the XRD peak list of Mo4PC3 was simulated for λ = 1.5418 Å (Cu Kα).
Neutral-atom scattering factors, no anomalous dispersion.

Peak list (6 most intense, 5 to 70 degrees two-theta, in order of rising 2θ)
- (0 0 8), 32.4 deg, I 29
- (1 0 2), 34.4 deg, I 60
- (1 0 5), 39.2 deg, I 68
- (1 0 6), 41.6 deg, I 100
- (1 1 0), 59.6 deg, I 46
- (1 0 12), 61.0 deg, I 26

Crystal structure
a = 3.1021 Å, b = 3.1021 Å, c = 22.0884 Å
α = 90.00°, β = 90.00°, γ = 120.00°
Space group P6_3/mmc (No. 194)
Symmetry-distinct sites (fractional):
Mo  0.0000  0.0000  0.1704
Mo  0.3333  0.6667  0.0544
P  0.3333  0.6667  0.2500
C  0.0000  0.0000  0.0000
C  0.3333  0.6667  0.6152